The following is a simulated X-ray diffraction stick pattern of Li3FeP2O8. It was derived from a structure optimized by DFT (GGA+U), using Cu Kα.

Structural model:
Lattice parameters (Å, degrees): 8.227 5.435 6.271 90.00 90.51 90.00
Space group C2/m (No. 12)
Symmetry-distinct sites (fractional):
Li  0.000  0.000  0.000 x2
Li  0.173  0.500  0.229 x4
Fe  0.000  0.000  0.500 x2
P  0.150  0.500  0.737 x4
O  0.033  0.270  0.730 x8
O  0.241  0.000  0.465 x4
O  0.247  0.000  0.062 x4

Largest 12 diffraction maxima, low angle first, 2θ = 10–90°:
index	Position (°2θ)	I_rel
0 0 1	14.12	61
1 1 1	24.28	100
2 0 -1	25.80	60
0 2 0	32.96	31
1 1 -2	34.70	36
1 1 2	34.87	37
3 1 0	36.71	34
2 2 0	39.75	13
4 0 0	44.07	24
4 2 -2	63.87	13
4 2 2	64.29	18
0 4 0	69.15	13